Theoretical PXRD pattern
Compound: Ba2MgTe2
Radiation: a wavelength of 1.5418 Å
Structure: a crystal structure in Alexandria, relaxed with GGA-PBE
Lines closer than 0.1° are merged.

Structural model:
abc: 9.1963 9.1963 4.5661
angles: 90.00 90.00 90.00
Space group P4/mbm (No. 127)
Symmetry-distinct sites (fractional):
1 Ba 0.1527 0.3473 0.0000 [4 per cell]
2 Mg 0.0000 0.0000 0.5000 [2 per cell]
3 Te 0.1539 0.6539 0.5000 [4 per cell]

Principal peaks in the range 2θ from 10° to 80°, by angle:
index	2θ/deg	I_rel
1 1 0	13.62	19
2 0 0	19.30	10
2 1 1	29.22	100
3 1 0	30.74	27
0 0 2	39.47	10
3 3 0	41.67	13
4 1 1	45.25	14
3 1 2	50.85	13
5 2 1	57.63	21
2 1 3	65.38	10

---

Theoretical PXRD pattern
Compound: TlInBi4
Radiation: a wavelength of 1.5418 Å
Structure: a crystal structure in Alexandria, relaxed with GGA-PBE
Lines closer than 0.1° are merged.

Structural model:
abc: 6.8246 19.4183 5.8086
angles: 90.00 90.00 90.00
Space group Cmcm (No. 63)
Symmetry-distinct sites (fractional):
1 Tl 0.0000 0.1232 0.2500 [4 per cell]
2 In 0.0000 0.3735 0.7500 [4 per cell]
3 Bi 0.2417 0.4598 0.2500 [8 per cell]
4 Bi 0.2443 0.2898 0.2500 [8 per cell]

Principal peaks in the range 2θ from 10° to 80°, by angle:
index	2θ/deg	I_rel
2 0 0	26.11	16
0 0 2	30.79	54
0 6 1	31.65	100
2 2 1	31.78	77
2 4 0	32.06	43
2 6 1	41.48	19
2 4 2	45.04	34
0 6 3	55.32	38
0 12 0	56.84	29
4 6 1	63.70	30

---

Theoretical PXRD pattern
Compound: Zn2FeCu
Radiation: a wavelength of 1.5418 Å
Structure: a crystal structure in Alexandria, relaxed with GGA-PBE
Lines closer than 0.1° are merged.

Structural model:
abc: 2.6122 3.6546 5.4128
angles: 90.00 90.70 90.00
Space group P2/m (No. 10)
Symmetry-distinct sites (fractional):
1 Zn 0.0011 0.0000 0.2480 [2 per cell]
2 Fe 0.5000 0.5000 0.0000 [1 per cell]
3 Cu 0.5000 0.5000 0.5000 [1 per cell]

Principal peaks in the range 2θ from 10° to 80°, by angle:
index	2θ/deg	I_rel
0 1 0	24.36	1
0 1 2	41.52	100
1 1 0	42.54	93
1 0 -2	48.12	32
1 0 2	48.75	31
0 2 0	49.91	28
0 0 4	69.46	10
1 2 -2	71.84	18
2 0 0	72.34	26